Nd7Sm2Y2: simulated powder diffractogram (Cu Kα, 1.54184 Å), based on a DFT-relaxed cell (GGA-PBE, Alexandria).

Structural model:
```
Nd7Sm2Y2
1.0
4.2950 -5.5584 0.0000
4.2950 5.5584 0.0000
-2.2778 0.0000 8.0417
Nd Sm Y
7 2 2
Cartesian
0.0000 0.0000 0.0000 Nd
0.6887 2.2898 6.6904 Nd
3.2426 0.0000 1.4835 Nd
5.6236 2.2898 1.3512 Nd
0.6887 -2.2898 6.6904 Nd
3.0697 0.0000 6.5581 Nd
5.6236 -2.2898 1.3512 Nd
3.1562 2.4141 4.0208 Sm
3.1562 -2.4141 4.0208 Sm
0.5845 0.0000 3.7861 Y
5.7278 0.0000 4.2556 Y
```

Principal peaks in the range 2θ from 10° to 80°, by angle:
2θ = 26.37°, intensity 20
2θ = 29.78°, intensity 29
2θ = 30.97°, intensity 70
2θ = 31.35°, intensity 100
2θ = 32.21°, intensity 34
2θ = 32.37°, intensity 31
2θ = 32.65°, intensity 42
2θ = 33.43°, intensity 36
2θ = 42.09°, intensity 23
2θ = 52.13°, intensity 25